This entry pairs a crystal structure of TiPt4 with its computed X-ray powder pattern. Radiation: CuKα. Structure: a DFT-relaxed cell (GGA-PBE, Alexandria).

Main lines, low angle first (10 to 90 degrees two-theta):
2theta	d/Å	intensity	(hkl)
38.7	2.324	100	1 0 5
40.2	2.245	84	1 2 1
45.5	1.995	34	2 0 0
50.5	1.806	34	0 2 6
70.3	1.339	25	2 2 6
80.8	1.189	24	1 4 5

Atomic structure:
a = 3.9891 Å, b = 5.5343 Å, c = 14.2996 Å
α = 90.00°, β = 90.00°, γ = 90.00°
Space group Imma (No. 74)
Inequivalent atoms, fractional coordinates:
Ti 0.0000 0.2500 0.1068 (multiplicity 4)
Pt 0.0000 0.0000 0.5000 (multiplicity 4)
Pt 0.0000 0.0014 0.6886 (multiplicity 8)
Pt 0.0000 0.2500 0.9075 (multiplicity 4)

This entry pairs a crystal structure of Al3FeSi2 with its computed X-ray powder pattern. Radiation: CuKα. Structure: a DFT-relaxed cell (GGA-PBE, Alexandria).

Main lines, low angle first (10 to 90 degrees two-theta):
2theta	d/Å	intensity	(hkl)
18.7	4.740	57	0 0 2
34.4	2.606	65	2 1 1
43.6	2.074	90	1 1 4
44.0	2.057	69	2 1 3
47.4	1.916	100	3 1 0
48.8	1.867	58	2 0 4

Atomic structure:
a = 6.0594 Å, b = 6.0609 Å, c = 9.4796 Å
α = 90.00°, β = 90.00°, γ = 90.00°
Space group Pbcn (No. 60)
Inequivalent atoms, fractional coordinates:
Al 0.0000 0.0000 0.0000 (multiplicity 4)
Al 0.1385 0.3687 0.1353 (multiplicity 8)
Fe 0.0000 0.0128 0.2500 (multiplicity 4)
Si 0.1637 0.3270 0.8447 (multiplicity 8)